(1)
# Ce2Ho2Sc7
Simulated powder diffractogram, Cu Kα (λ = 1.5418 Å). Input: a structure optimized by DFT (PBE).
Lines closer than 0.1° are merged.

Structural model:
```
data_Ce2Ho2Sc7
_symmetry_space_group_name_H-M 'C 1 2/m 1'
_symmetry_Int_Tables_number 12
_symmetry_space_group_name_Hall '-C 2y'
_cell_length_a 10.7615
_cell_length_b 10.6853
_cell_length_c 5.6463
_cell_angle_alpha 90.00
_cell_angle_beta 112.93
_cell_angle_gamma 90.00
loop_
_atom_site_label
_atom_site_type_symbol
_atom_site_fract_x
_atom_site_fract_y
_atom_site_fract_z
_atom_site_occupancy
Ce1 Ce 0.2333 0.0000 0.0908 1
Ho1 Ho 0.0000 0.2175 0.0000 1
Sc1 Sc 0.0000 0.0000 0.5000 1
Sc2 Sc 0.0859 0.5000 0.3063 1
Sc3 Sc 0.1699 0.2356 0.6626 1
```

The 12 most intense peaks (2θ from 10° to 90°), low angle first:
h k l  two_theta  d (Å)  intensity
0 0 1  17.05  5.200  51.7
1 1 -1  17.92  4.951  16.7
2 2 0  24.50  3.633  44.8
2 2 -1  25.59  3.482  44.0
3 1 -1  27.05  3.297  17.9
1 1 -2  33.11  2.705  31.5
0 4 0  33.51  2.674  77.4
2 2 1  33.89  2.645  100.0
3 3 -1  36.19  2.482  48.4
2 2 -2  36.29  2.475  36.0
1 5 -2  54.02  1.698  21.1
6 2 0  58.47  1.579  17.5

(2)
# CeHoTm3Sc
Simulated powder diffractogram, Cu Kα (λ = 1.5418 Å). Input: a structure optimized by DFT (PBE).
Lines closer than 0.1° are merged.

Structural model:
```
data_CeHoTm3Sc
_symmetry_space_group_name_H-M 'C m c m'
_symmetry_Int_Tables_number 63
_symmetry_space_group_name_Hall '-C 2c 2'
_cell_length_a 4.9012
_cell_length_b 14.6585
_cell_length_c 9.7996
_cell_angle_alpha 90.00
_cell_angle_beta 90.00
_cell_angle_gamma 90.00
loop_
_atom_site_label
_atom_site_type_symbol
_atom_site_fract_x
_atom_site_fract_y
_atom_site_fract_z
_atom_site_occupancy
Ce1 Ce 0.0000 0.0016 0.2500 1
Ho1 Ho 0.0000 0.5000 0.0000 1
Tm1 Tm 0.0000 0.1660 0.0004 1
Tm2 Tm 0.0000 0.3306 0.2500 1
Sc1 Sc 0.0000 0.3329 0.7500 1
```

The 12 most intense peaks (2θ from 10° to 90°), low angle first:
h k l  two_theta  d (Å)  intensity
1 1 1  21.15  4.200  4.4
1 3 2  31.66  2.827  100.0
2 0 0  36.68  2.450  33.7
0 6 0  36.80  2.443  18.1
2 0 4  52.90  1.731  35.3
3 3 2  62.92  1.477  27.9
1 9 2  63.07  1.474  13.8
2 6 4  66.12  1.413  12.4
3 3 6  86.60  1.124  5.9
3 9 2  86.73  1.123  11.7
4 0 4  89.45  1.095  11.1
2 12 0  89.69  1.093  5.5

(3)
# CeHo3Se6
Simulated powder diffractogram, Cu Kα (λ = 1.5418 Å). Input: a structure optimized by DFT (PBE).
Lines closer than 0.1° are merged.

Structural model:
```
data_CeHo3Se6
_symmetry_space_group_name_H-M 'P 1 21/m 1'
_symmetry_Int_Tables_number 11
_symmetry_space_group_name_Hall '-P 2yb'
_cell_length_a 11.5946
_cell_length_b 4.1264
_cell_length_c 11.8687
_cell_angle_alpha 90.00
_cell_angle_beta 109.06
_cell_angle_gamma 90.00
loop_
_atom_site_label
_atom_site_type_symbol
_atom_site_fract_x
_atom_site_fract_y
_atom_site_fract_z
_atom_site_occupancy
Ce1 Ce 0.0473 0.2500 0.1950 1
Ho1 Ho 0.1586 0.2500 0.5853 1
Ho2 Ho 0.3194 0.7500 0.0004 1
Ho3 Ho 0.4387 0.2500 0.3338 1
Se1 Se 0.0835 0.7500 0.4051 1
Se2 Se 0.1176 0.2500 0.9646 1
Se3 Se 0.1963 0.7500 0.7506 1
Se4 Se 0.2615 0.7500 0.2272 1
Se5 Se 0.3932 0.2500 0.5593 1
Se6 Se 0.4807 0.2500 0.1144 1
```

The 12 most intense peaks (2θ from 10° to 90°), low angle first:
h k l  two_theta  d (Å)  intensity
1 0 -3  22.48  3.956  46.5
3 0 -1  23.00  3.866  70.6
1 1 1  25.24  3.529  58.3
2 1 1  29.71  3.007  100.0
2 0 -4  30.70  2.912  48.2
0 1 3  32.31  2.771  36.2
3 1 0  32.74  2.735  73.0
4 1 -3  40.30  2.238  78.4
1 1 4  41.94  2.154  45.8
0 2 0  43.88  2.063  68.0
5 0 1  44.64  2.030  35.9
5 2 1  64.37  1.447  32.7

(4)
# Ce6HoSe8
Simulated powder diffractogram, Cu Kα (λ = 1.5418 Å). Input: a structure optimized by DFT (PBE).
Lines closer than 0.1° are merged.

Structural model:
```
data_Ce6HoSe8
_symmetry_space_group_name_H-M 'F m -3 m'
_symmetry_Int_Tables_number 225
_symmetry_space_group_name_Hall '-F 4 2 3'
_cell_length_a 11.8524
_cell_length_b 11.8524
_cell_length_c 11.8524
_cell_angle_alpha 90.00
_cell_angle_beta 90.00
_cell_angle_gamma 90.00
loop_
_atom_site_label
_atom_site_type_symbol
_atom_site_fract_x
_atom_site_fract_y
_atom_site_fract_z
_atom_site_occupancy
Ce1 Ce 0.0000 0.2500 0.2500 1
Ho1 Ho 0.0000 0.0000 0.0000 1
Se1 Se 0.0000 0.0000 0.2454 1
Se2 Se 0.2500 0.2500 0.2500 1
```

The 12 most intense peaks (2θ from 10° to 90°), low angle first:
h k l  two_theta  d (Å)  intensity
1 1 1  12.94  6.843  11.3
3 1 1  24.92  3.574  6.0
2 2 2  26.04  3.421  9.2
4 0 0  30.16  2.963  100.0
5 1 1  39.51  2.281  3.1
4 4 0  43.18  2.095  74.3
5 3 1  45.26  2.003  3.0
6 2 2  51.12  1.787  4.7
4 4 4  53.57  1.711  26.1
8 0 0  62.71  1.482  12.1
8 4 0  71.15  1.325  33.3
8 4 4  79.18  1.210  24.8

(5)
# CeHo2Se5
Simulated powder diffractogram, Cu Kα (λ = 1.5418 Å). Input: a structure optimized by DFT (PBE).
Lines closer than 0.1° are merged.

Structural model:
```
data_CeHo2Se5
_symmetry_space_group_name_H-M 'I 4/m c m'
_symmetry_Int_Tables_number 140
_symmetry_space_group_name_Hall '-I 4 2c'
_cell_length_a 7.6106
_cell_length_b 7.6106
_cell_length_c 13.0825
_cell_angle_alpha 90.00
_cell_angle_beta 90.00
_cell_angle_gamma 90.00
loop_
_atom_site_label
_atom_site_type_symbol
_atom_site_fract_x
_atom_site_fract_y
_atom_site_fract_z
_atom_site_occupancy
Ce1 Ce 0.0000 0.0000 0.2500 1
Ho1 Ho 0.1559 0.3441 0.0000 1
Se1 Se 0.0000 0.0000 0.0000 1
Se2 Se 0.1569 0.3431 0.3520 1
```

The 12 most intense peaks (2θ from 10° to 90°), low angle first:
h k l  two_theta  d (Å)  intensity
0 0 2  13.54  6.541  12.7
1 1 2  21.38  4.156  10.4
2 0 2  27.09  3.292  14.3
1 1 4  32.02  2.795  8.8
2 1 3  33.39  2.684  100.0
3 1 0  37.37  2.407  46.8
2 1 5  43.61  2.075  17.9
3 1 4  46.87  1.938  9.7
4 2 0  53.92  1.701  21.2
3 3 6  67.63  1.385  9.3
3 1 8  69.49  1.353  10.1
5 2 3  69.97  1.345  17.8

(6)
# CeHoSi2
Simulated powder diffractogram, Cu Kα (λ = 1.5418 Å). Input: a structure optimized by DFT (PBE).
Lines closer than 0.1° are merged.

Structural model:
```
data_CeHoSi2
_symmetry_space_group_name_H-M 'A m m 2'
_symmetry_Int_Tables_number 38
_symmetry_space_group_name_Hall 'A 2 -2'
_cell_length_a 3.8641
_cell_length_b 4.3462
_cell_length_c 10.6461
_cell_angle_alpha 90.00
_cell_angle_beta 90.00
_cell_angle_gamma 90.00
loop_
_atom_site_label
_atom_site_type_symbol
_atom_site_fract_x
_atom_site_fract_y
_atom_site_fract_z
_atom_site_occupancy
Ce1 Ce 0.0000 0.0000 0.0000 1
Ho1 Ho 0.5000 0.0000 0.2795 1
Si1 Si 0.0000 0.0000 0.7154 1
Si2 Si 0.5000 0.0000 0.5668 1
```

The 12 most intense peaks (2θ from 10° to 90°), low angle first:
h k l  two_theta  d (Å)  intensity
0 1 1  22.09  4.024  37.3
1 0 2  28.54  3.127  63.1
1 1 1  32.11  2.787  100.0
0 1 3  32.57  2.749  53.9
0 0 4  33.67  2.662  29.3
1 1 3  40.26  2.240  33.5
0 2 0  41.56  2.173  23.7
2 0 0  47.03  1.932  16.6
1 2 2  51.19  1.785  25.7
1 1 5  53.47  1.714  21.6
0 2 4  54.51  1.683  14.8
2 1 3  58.38  1.581  20.3

(7)
# CeSm2Ho6
Simulated powder diffractogram, Cu Kα (λ = 1.5418 Å). Input: a structure optimized by DFT (PBE).
Lines closer than 0.1° are merged.

Structural model:
```
data_CeSm2Ho6
_symmetry_space_group_name_H-M 'R 3 m'
_symmetry_Int_Tables_number 160
_symmetry_space_group_name_Hall 'R 3 -2"'
_cell_length_a 7.2951
_cell_length_b 7.2951
_cell_length_c 18.8637
_cell_angle_alpha 90.00
_cell_angle_beta 90.00
_cell_angle_gamma 120.00
loop_
_atom_site_label
_atom_site_type_symbol
_atom_site_fract_x
_atom_site_fract_y
_atom_site_fract_z
_atom_site_occupancy
Ce1 Ce 0.0000 0.0000 0.0000 1
Sm1 Sm 0.0000 0.0000 0.2611 1
Sm2 Sm 0.0000 0.0000 0.4380 1
Ho1 Ho 0.0133 0.5067 0.4479 1
Ho2 Ho 0.0356 0.5178 0.2543 1
```

The 12 most intense peaks (2θ from 10° to 90°), low angle first:
h k l  two_theta  d (Å)  intensity
0 0 6  28.39  3.144  40.3
0 2 1  28.65  3.115  100.0
2 0 2  29.83  2.995  19.5
0 2 4  34.16  2.624  71.4
2 0 5  37.12  2.422  83.2
0 2 7  44.18  2.050  20.3
2 2 0  50.01  1.824  42.1
0 2 10  56.85  1.620  16.6
2 2 6  58.51  1.578  28.0
2 0 11  61.53  1.507  20.1
0 4 5  63.90  1.457  15.0
2 4 1  80.66  1.191  15.6

(8)
# CeSm7Ho3
Simulated powder diffractogram, Cu Kα (λ = 1.5418 Å). Input: a structure optimized by DFT (PBE).
Lines closer than 0.1° are merged.

Structural model:
```
data_CeSm7Ho3
_symmetry_space_group_name_H-M 'I m m m'
_symmetry_Int_Tables_number 71
_symmetry_space_group_name_Hall '-I 2 2'
_cell_length_a 5.8305
_cell_length_b 11.1957
_cell_length_c 11.3246
_cell_angle_alpha 90.00
_cell_angle_beta 90.00
_cell_angle_gamma 90.00
loop_
_atom_site_label
_atom_site_type_symbol
_atom_site_fract_x
_atom_site_fract_y
_atom_site_fract_z
_atom_site_occupancy
Ce1 Ce 0.0000 0.0000 0.0000 1
Sm1 Sm 0.0000 0.1981 0.2946 1
Sm2 Sm 0.0000 0.2857 0.0000 1
Sm3 Sm 0.0000 0.5000 0.5000 1
Ho1 Ho 0.0000 0.0000 0.5000 1
Ho2 Ho 0.0000 0.5000 0.2016 1
```

The 12 most intense peaks (2θ from 10° to 90°), low angle first:
h k l  two_theta  d (Å)  intensity
1 2 1  23.35  3.810  16.9
0 1 3  24.89  3.577  18.8
2 0 0  30.67  2.915  73.3
0 0 4  31.60  2.831  30.5
0 4 0  31.98  2.799  29.5
1 2 3  32.47  2.758  100.0
1 3 2  32.58  2.748  93.9
2 0 4  44.61  2.031  23.7
2 4 0  44.89  2.019  23.2
3 2 3  55.71  1.650  42.2
1 2 7  61.77  1.502  19.2
1 7 2  62.40  1.488  16.8

(9)
# CeSm6Ho8
Simulated powder diffractogram, Cu Kα (λ = 1.5418 Å). Input: a structure optimized by DFT (PBE).
Lines closer than 0.1° are merged.

Structural model:
```
data_CeSm6Ho8
_symmetry_space_group_name_H-M 'R -3'
_symmetry_Int_Tables_number 148
_symmetry_space_group_name_Hall '-R 3'
_cell_length_a 9.0455
_cell_length_b 9.0455
_cell_length_c 20.6785
_cell_angle_alpha 90.00
_cell_angle_beta 90.00
_cell_angle_gamma 120.00
loop_
_atom_site_label
_atom_site_type_symbol
_atom_site_fract_x
_atom_site_fract_y
_atom_site_fract_z
_atom_site_occupancy
Ce1 Ce 0.0000 0.0000 0.0000 1
Sm1 Sm 0.0635 0.2491 0.7094 1
Ho1 Ho 0.0000 0.0000 0.4230 1
Ho2 Ho 0.0812 0.5582 0.8065 1
```

The 12 most intense peaks (2θ from 10° to 90°), low angle first:
h k l  two_theta  d (Å)  intensity
3 -1 1  30.50  2.931  21.9
2 0 5  31.44  2.845  100.0
1 0 7  32.39  2.764  29.9
1 1 6  32.67  2.741  9.4
2 1 4  34.92  2.569  10.3
0 3 3  36.81  2.442  15.1
2 2 0  39.86  2.261  6.0
0 3 9  53.10  1.725  12.2
1 4 0  53.61  1.709  5.5
3 2 4  54.05  1.697  9.6
5 -1 3  55.37  1.659  9.5
5 -2 7  60.28  1.535  11.2

(10)
# CeSm6Ho
Simulated powder diffractogram, Cu Kα (λ = 1.5418 Å). Input: a structure optimized by DFT (PBE).
Lines closer than 0.1° are merged.

Structural model:
```
data_CeSm6Ho
_symmetry_space_group_name_H-M 'F m m m'
_symmetry_Int_Tables_number 69
_symmetry_space_group_name_Hall '-F 2 2'
_cell_length_a 7.2143
_cell_length_b 10.1757
_cell_length_c 14.4296
_cell_angle_alpha 90.00
_cell_angle_beta 90.00
_cell_angle_gamma 90.00
loop_
_atom_site_label
_atom_site_type_symbol
_atom_site_fract_x
_atom_site_fract_y
_atom_site_fract_z
_atom_site_occupancy
Ce1 Ce 0.0000 0.0000 0.0000 1
Sm1 Sm 0.0000 0.0000 0.2476 1
Sm2 Sm 0.2500 0.2500 0.1226 1
Ho1 Ho 0.0000 0.0000 0.5000 1
```

The 12 most intense peaks (2θ from 10° to 90°), low angle first:
h k l  two_theta  d (Å)  intensity
2 2 0  30.37  2.943  100.0
0 4 0  35.22  2.548  50.6
4 0 0  50.66  1.802  36.1
4 2 4  60.18  1.538  28.6
2 6 0  60.30  1.535  14.3
4 4 0  63.20  1.471  12.3
4 0 8  74.38  1.275  3.8
0 8 0  74.61  1.272  1.9
6 2 0  82.42  1.170  5.8
4 6 4  82.53  1.169  11.7
6 0 4  85.06  1.140  10.9
2 8 4  85.26  1.138  5.5

(11)
# CeSm3Ho8
Simulated powder diffractogram, Cu Kα (λ = 1.5418 Å). Input: a structure optimized by DFT (PBE).
Lines closer than 0.1° are merged.

Structural model:
```
data_CeSm3Ho8
_symmetry_space_group_name_H-M 'I -4 2 m'
_symmetry_Int_Tables_number 121
_symmetry_space_group_name_Hall 'I -4 2'
_cell_length_a 8.6609
_cell_length_b 8.6609
_cell_length_c 11.2875
_cell_angle_alpha 90.00
_cell_angle_beta 90.00
_cell_angle_gamma 90.00
loop_
_atom_site_label
_atom_site_type_symbol
_atom_site_fract_x
_atom_site_fract_y
_atom_site_fract_z
_atom_site_occupancy
Ce1 Ce 0.0000 0.0000 0.0000 1
Sm1 Sm 0.0000 0.0000 0.5000 1
Sm2 Sm 0.0000 0.5000 0.2500 1
Ho1 Ho 0.1248 0.1248 0.7638 1
Ho2 Ho 0.2327 0.2327 0.0294 1
```

The 12 most intense peaks (2θ from 10° to 90°), low angle first:
h k l  two_theta  d (Å)  intensity
1 1 0  14.46  6.124  28.9
2 1 1  24.29  3.664  63.7
2 0 2  25.93  3.436  51.5
2 2 0  29.16  3.062  76.5
0 0 4  31.71  2.822  59.5
2 2 2  33.23  2.696  65.3
3 1 2  36.46  2.464  100.0
3 2 1  38.31  2.349  27.4
2 2 4  43.62  2.075  40.6
4 0 2  44.82  2.022  56.4
5 1 2  56.59  1.626  31.4
3 1 6  59.62  1.551  34.8

(12)
# CeSm6Ho4
Simulated powder diffractogram, Cu Kα (λ = 1.5418 Å). Input: a structure optimized by DFT (PBE).
Lines closer than 0.1° are merged.

Structural model:
```
data_CeSm6Ho4
_symmetry_space_group_name_H-M 'C m c m'
_symmetry_Int_Tables_number 63
_symmetry_space_group_name_Hall '-C 2c 2'
_cell_length_a 5.8210
_cell_length_b 9.6081
_cell_length_c 25.8147
_cell_angle_alpha 90.00
_cell_angle_beta 90.00
_cell_angle_gamma 90.00
loop_
_atom_site_label
_atom_site_type_symbol
_atom_site_fract_x
_atom_site_fract_y
_atom_site_fract_z
_atom_site_occupancy
Ce1 Ce 0.0000 0.2110 0.2500 1
Sm1 Sm 0.0000 0.1201 0.6807 1
Sm2 Sm 0.0000 0.2029 0.1007 1
Sm3 Sm 0.0000 0.4517 0.7500 1
Sm4 Sm 0.0000 0.5000 0.0000 1
Ho1 Ho 0.0000 0.1502 0.5426 1
Ho2 Ho 0.0000 0.4528 0.6231 1
```

The 12 most intense peaks (2θ from 10° to 90°), low angle first:
h k l  two_theta  d (Å)  intensity
1 1 7  30.16  2.963  80.1
0 2 7  30.56  2.925  75.0
2 0 0  30.72  2.911  97.0
1 3 0  31.89  2.806  100.0
1 3 1  32.09  2.790  67.5
1 1 8  33.08  2.708  80.4
2 2 7  43.88  2.063  55.9
3 3 0  55.36  1.660  21.1
3 1 8  56.13  1.639  17.9
2 4 8  57.35  1.607  17.4
2 0 14  59.35  1.557  16.4
4 2 7  72.58  1.302  18.5